Structure and theoretical X-ray powder pattern of Nd2YSb3Rh4 (a structure optimized by DFT (PBE); a wavelength of 1.5418 Å).

Crystal structure
Lattice parameters (Å, degrees): 4.3978 4.3978 11.4804 90.00 90.00 90.00
Element x y z (fractional)
1 Nd 0.0000 0.5000 0.2262
2 Nd 0.5000 0.0000 0.7738
3 Y 0.0000 0.0000 0.5000
4 Sb 0.0000 0.5000 0.8698
5 Sb 0.5000 0.0000 0.1302
6 Sb 0.5000 0.5000 0.5000
7 Rh 0.0000 0.0000 0.0000
8 Rh 0.0000 0.5000 0.6463
9 Rh 0.5000 0.0000 0.3537
10 Rh 0.5000 0.5000 0.0000

Peak list (8 most intense, 10° ≤ 2θ ≤ 90°, low angle first)
| 2theta | Rel. int. |
| --- | --- |
| 30.98 | 475 |
| 32.75 | 1000 |
| 41.05 | 610 |
| 42.88 | 290 |
| 44.51 | 273 |
| 52.30 | 216 |
| 59.45 | 202 |
| 69.55 | 219 |

***

Structure and theoretical X-ray powder pattern of NdSc3Rh4 (a structure optimized by DFT (PBE); a wavelength of 1.5418 Å).

Crystal structure
Lattice parameters (Å, degrees): 8.2293 8.2293 8.2293 32.89 32.89 32.89
Element x y z (fractional)
1 Nd 0.0000 0.0000 0.0000
2 Sc 0.2449 0.2449 0.2449
3 Sc 0.5000 0.5000 0.5000
4 Sc 0.7551 0.7551 0.7551
5 Rh 0.1285 0.1285 0.1285
6 Rh 0.3820 0.3820 0.3820
7 Rh 0.6180 0.6180 0.6180
8 Rh 0.8715 0.8715 0.8715

Peak list (8 most intense, 10° ≤ 2θ ≤ 90°, low angle first)
| 2theta | Rel. int. |
| --- | --- |
| 26.87 | 107 |
| 29.26 | 111 |
| 38.07 | 988 |
| 38.65 | 1000 |
| 55.37 | 322 |
| 68.41 | 141 |
| 69.56 | 317 |
| 69.94 | 165 |

***

Structure and theoretical X-ray powder pattern of Nd3Si3Rh2 (a structure optimized by DFT (PBE); a wavelength of 1.5418 Å).

Crystal structure
Lattice parameters (Å, degrees): 5.8629 5.8629 15.2798 90.00 90.00 138.43
Element x y z (fractional)
1 Nd 0.0771 0.9229 0.7500
2 Nd 0.3590 0.6410 0.5954
3 Nd 0.3590 0.6410 0.9046
4 Nd 0.6410 0.3590 0.0954
5 Nd 0.6410 0.3590 0.4046
6 Nd 0.9229 0.0771 0.2500
7 Si 0.0785 0.9215 0.5522
8 Si 0.0785 0.9215 0.9478
9 Si 0.2104 0.7896 0.2500
10 Si 0.7896 0.2104 0.7500
11 Si 0.9215 0.0785 0.0522
12 Si 0.9215 0.0785 0.4478
13 Rh 0.3522 0.6478 0.1182
14 Rh 0.3522 0.6478 0.3818
15 Rh 0.6478 0.3522 0.6182
16 Rh 0.6478 0.3522 0.8818

Peak list (8 most intense, 10° ≤ 2θ ≤ 90°, low angle first)
| 2theta | Rel. int. |
| --- | --- |
| 25.70 | 322 |
| 32.64 | 1000 |
| 32.86 | 973 |
| 33.16 | 325 |
| 35.24 | 313 |
| 40.47 | 667 |
| 43.50 | 357 |
| 44.37 | 303 |

***

Structure and theoretical X-ray powder pattern of Nd2USiRh6 (a structure optimized by DFT (PBE); a wavelength of 1.5418 Å).

Crystal structure
Lattice parameters (Å, degrees): 6.3204 6.3487 6.9003 89.71 62.94 60.16
Element x y z (fractional)
1 Nd 0.0372 0.2319 0.1926
2 Nd 0.9628 0.7681 0.8074
3 U 0.5000 0.5000 0.0000
4 Si 0.5000 0.0000 0.5000
5 Rh 0.0078 0.2438 0.6778
6 Rh 0.4184 0.3265 0.3330
7 Rh 0.4248 0.7568 0.3257
8 Rh 0.5752 0.2432 0.6743
9 Rh 0.5816 0.6735 0.6670
10 Rh 0.9922 0.7562 0.3222

Peak list (8 most intense, 10° ≤ 2θ ≤ 90°, low angle first)
| 2theta | Rel. int. |
| --- | --- |
| 16.97 | 885 |
| 28.11 | 636 |
| 34.32 | 970 |
| 38.49 | 934 |
| 38.61 | 958 |
| 38.76 | 1000 |
| 39.41 | 608 |
| 58.12 | 657 |

***

Structure and theoretical X-ray powder pattern of Nd5Sn2Rh (a structure optimized by DFT (PBE); a wavelength of 1.5418 Å).

Crystal structure
Lattice parameters (Å, degrees): 8.1503 12.5394 4.7219 90.00 90.00 90.00
Element x y z (fractional)
1 Nd 0.0000 0.0000 0.0000
2 Nd 0.1366 0.2959 0.0000
3 Nd 0.1884 0.5671 0.5000
4 Nd 0.3116 0.0671 0.5000
5 Nd 0.3634 0.7959 0.0000
6 Nd 0.5000 0.5000 0.0000
7 Nd 0.6366 0.2041 0.0000
8 Nd 0.6884 0.9329 0.5000
9 Nd 0.8116 0.4329 0.5000
10 Nd 0.8634 0.7041 0.0000
11 Sn 0.0786 0.8289 0.5000
12 Sn 0.4214 0.3289 0.5000
13 Sn 0.5786 0.6711 0.5000
14 Sn 0.9214 0.1711 0.5000
15 Rh 0.0000 0.5000 0.0000
16 Rh 0.5000 0.0000 0.0000

Peak list (8 most intense, 10° ≤ 2θ ≤ 90°, low angle first)
| 2theta | Rel. int. |
| --- | --- |
| 26.03 | 194 |
| 29.82 | 743 |
| 30.59 | 1000 |
| 32.34 | 518 |
| 34.34 | 222 |
| 38.12 | 387 |
| 48.97 | 178 |
| 49.63 | 290 |

***

Structure and theoretical X-ray powder pattern of Nd3Sn5Rh6 (a structure optimized by DFT (PBE); a wavelength of 1.5418 Å).

Crystal structure
Lattice parameters (Å, degrees): 4.3731 13.5531 10.0486 90.00 90.00 90.00
Element x y z (fractional)
1 Nd 0.2500 0.0742 0.2484
2 Nd 0.2500 0.4258 0.2484
3 Nd 0.2500 0.7500 0.2637
4 Nd 0.7500 0.2500 0.7363
5 Nd 0.7500 0.5742 0.7516
6 Nd 0.7500 0.9258 0.7516
7 Sn 0.2500 0.0844 0.6418
8 Sn 0.2500 0.4156 0.6418
9 Sn 0.2500 0.6330 0.9844
10 Sn 0.2500 0.7500 0.6587
11 Sn 0.2500 0.8670 0.9844
12 Sn 0.7500 0.1330 0.0156
13 Sn 0.7500 0.2500 0.3413
14 Sn 0.7500 0.3670 0.0156
15 Sn 0.7500 0.5844 0.3582
16 Sn 0.7500 0.9156 0.3582
17 Rh 0.2500 0.0497 0.9013
18 Rh 0.2500 0.2500 0.4966
19 Rh 0.2500 0.2500 0.9837
20 Rh 0.2500 0.4503 0.9013
21 Rh 0.2500 0.5860 0.5051
22 Rh 0.2500 0.9140 0.5051
23 Rh 0.7500 0.0860 0.4949
24 Rh 0.7500 0.4140 0.4949
25 Rh 0.7500 0.5497 0.0987
26 Rh 0.7500 0.7500 0.0163
27 Rh 0.7500 0.7500 0.5034
28 Rh 0.7500 0.9503 0.0987

Peak list (8 most intense, 10° ≤ 2θ ≤ 90°, low angle first)
| 2theta | Rel. int. |
| --- | --- |
| 33.30 | 140 |
| 33.66 | 1000 |
| 39.91 | 154 |
| 40.16 | 97 |
| 41.29 | 276 |
| 49.65 | 95 |
| 58.77 | 99 |
| 70.42 | 122 |